1.
Starting from a crystal structure in the Materials Project, relaxed with GGA-PBE, the X-ray diffraction stick pattern of Sb2S3O12 was computed for copper Kα.
Neutral-atom scattering factors, no anomalous dispersion.

Largest 10 diffraction maxima, by angle, 2θ = 10–90°:
2θ/deg	Rel. int.
13.60	62
18.59	100
19.95	59
22.79	63
27.40	60
29.81	88
34.13	38
34.92	37
48.78	31
54.56	22

Atomic structure:
a b c (Å): 9.5981 9.5981 9.5981
angles (deg): 55.25 55.25 55.25
Fractional positions:
Sb 0.1428 0.1428 0.1428
Sb 0.3476 0.3476 0.3476
Sb 0.6524 0.6524 0.6524
Sb 0.8572 0.8572 0.8572
S 0.0405 0.7510 0.4559
S 0.2490 0.5441 0.9595
S 0.4559 0.0405 0.7510
S 0.5441 0.9595 0.2490
S 0.7510 0.4559 0.0405
S 0.9595 0.2490 0.5441
O 0.0178 0.8022 0.5901
O 0.1353 0.8597 0.2671
O 0.1403 0.7329 0.8647
O 0.1412 0.2078 0.5320
O 0.1516 0.5536 0.4941
O 0.1978 0.4099 0.9822
O 0.2078 0.5320 0.1412
O 0.2671 0.1353 0.8597
O 0.4099 0.9822 0.1978
O 0.4464 0.5059 0.8484
O 0.4680 0.8588 0.7922
O 0.4941 0.1516 0.5536
O 0.5059 0.8484 0.4464
O 0.5320 0.1412 0.2078
O 0.5536 0.4941 0.1516
O 0.5901 0.0178 0.8022
O 0.7329 0.8647 0.1403
O 0.7922 0.4680 0.8588
O 0.8022 0.5901 0.0178
O 0.8484 0.4464 0.5059
O 0.8588 0.7922 0.4680
O 0.8597 0.2671 0.1353
O 0.8647 0.1403 0.7329
O 0.9822 0.1978 0.4099


2.
Starting from a crystal structure in the Materials Project, relaxed with GGA-PBE, the X-ray diffraction stick pattern of Sb5S3O5 was computed for copper Kα.
Neutral-atom scattering factors, no anomalous dispersion.

Largest 10 diffraction maxima, by angle, 2θ = 10–90°:
2θ/deg	Rel. int.
19.43	70
20.16	42
20.38	48
22.15	55
24.53	82
26.56	43
27.30	100
31.48	38
32.37	34
33.57	67

Atomic structure:
a b c (Å): 5.8330 13.5918 16.7627
angles (deg): 67.47 79.98 77.61
Fractional positions:
Sb 0.0000 0.0000 0.0000
Sb 0.0009 0.8879 0.8446
Sb 0.0296 0.3879 0.3446
Sb 0.1254 0.2322 0.1257
Sb 0.1679 0.4417 0.7144
Sb 0.1760 0.6308 0.0172
Sb 0.2797 0.7322 0.6257
Sb 0.3363 0.5917 0.3440
Sb 0.4391 0.9417 0.2144
Sb 0.4480 0.0391 0.6733
Sb 0.4911 0.0917 0.8440
Sb 0.4999 0.1891 0.3028
Sb 0.6027 0.5391 0.1733
Sb 0.6594 0.3985 0.8915
Sb 0.7630 0.5000 0.5000
Sb 0.7712 0.6891 0.8028
Sb 0.8136 0.8985 0.3915
Sb 0.9094 0.7428 0.1726
Sb 0.9381 0.2428 0.6726
Sb 0.9390 0.1308 0.5172
S 0.0475 0.2815 0.8929
S 0.1490 0.1285 0.2831
S 0.2025 0.6285 0.7831
S 0.2078 0.5999 0.5733
S 0.3790 0.0928 0.0727
S 0.4035 0.3412 0.1231
S 0.5412 0.7815 0.3929
S 0.5570 0.0309 0.4439
S 0.7312 0.5309 0.9439
S 0.7366 0.5023 0.7341
S 0.7901 0.0023 0.2341
S 0.8916 0.8493 0.6243
O 0.0560 0.4654 0.4252
O 0.0908 0.8589 0.0873
O 0.1226 0.1654 0.5920
O 0.1426 0.3591 0.6440
O 0.2130 0.7719 0.9299
O 0.2748 0.1359 0.7414
O 0.2843 0.9857 0.9197
O 0.3217 0.2716 0.3733
O 0.3280 0.4949 0.2759
O 0.3657 0.6451 0.0976
O 0.5733 0.4857 0.4197
O 0.6110 0.6359 0.2414
O 0.6173 0.8591 0.1440
O 0.6547 0.1451 0.5976
O 0.6642 0.9949 0.7759
O 0.7260 0.3589 0.5873
O 0.7964 0.7716 0.8733
O 0.8164 0.9654 0.9252
O 0.8482 0.2719 0.4299
O 0.8831 0.6654 0.0920


3.
Starting from a crystal structure in the Materials Project, relaxed with GGA-PBE, the X-ray diffraction stick pattern of Sb5S3O5 was computed for copper Kα.
Neutral-atom scattering factors, no anomalous dispersion.

Largest 10 diffraction maxima, by angle, 2θ = 10–90°:
2θ/deg	Rel. int.
19.43	82
20.16	56
20.38	60
22.15	65
24.53	100
26.56	51
27.28	69
27.32	62
31.48	48
33.57	76

Atomic structure:
a b c (Å): 5.8330 13.5822 16.7543
angles (deg): 67.52 80.14 77.79
Fractional positions:
Sb 0.0000 0.0000 0.0000
Sb 0.0028 0.1898 0.3023
Sb 0.0465 0.3944 0.8912
Sb 0.1411 0.2436 0.6721
Sb 0.1722 0.7423 0.1718
Sb 0.1791 0.6269 0.0160
Sb 0.2316 0.5007 0.4995
Sb 0.2370 0.3843 0.3440
Sb 0.2634 0.8841 0.8443
Sb 0.3570 0.7330 0.6252
Sb 0.4050 0.9359 0.2144
Sb 0.4072 0.1271 0.5166
Sb 0.5120 0.2331 0.1245
Sb 0.5735 0.0875 0.8434
Sb 0.6691 0.4360 0.7137
Sb 0.6847 0.5398 0.1726
Sb 0.7278 0.5868 0.3440
Sb 0.7333 0.6912 0.8029
Sb 0.8344 0.0398 0.6728
Sb 0.8949 0.8931 0.3909
S 0.0217 0.5030 0.7336
S 0.1269 0.3419 0.1226
S 0.2791 0.7822 0.3924
S 0.3799 0.6252 0.7828
S 0.4417 0.1246 0.2824
S 0.4501 0.0936 0.0722
S 0.6152 0.5943 0.5728
S 0.6316 0.8454 0.6209
S 0.7739 0.2815 0.8954
S 0.7888 0.5329 0.9440
S 0.9629 0.0316 0.4434
S 0.9682 0.0027 0.2333
O 0.0280 0.2723 0.3728
O 0.0515 0.4611 0.4247
O 0.0836 0.7690 0.9308
O 0.1147 0.1661 0.5915
O 0.2917 0.9617 0.9245
O 0.3224 0.3596 0.5868
O 0.3579 0.6670 0.0908
O 0.3807 0.8544 0.1427
O 0.4452 0.2690 0.4307
O 0.5146 0.6304 0.2416
O 0.5160 0.4864 0.4192
O 0.5540 0.7724 0.8740
O 0.5632 0.9961 0.7749
O 0.5993 0.1412 0.5969
O 0.8093 0.9864 0.9189
O 0.8468 0.1306 0.7417
O 0.8497 0.3541 0.6431
O 0.8958 0.4956 0.2754
O 0.8980 0.6399 0.0983
O 0.9641 0.8580 0.0854


4.
Starting from a crystal structure in the Materials Project, relaxed with GGA-PBE, the X-ray diffraction stick pattern of Sb2S6O21 was computed for copper Kα.
Neutral-atom scattering factors, no anomalous dispersion.

Largest 10 diffraction maxima, by angle, 2θ = 10–90°:
2θ/deg	Rel. int.
13.79	68
15.06	46
15.75	21
17.36	49
21.15	91
22.59	100
28.12	47
28.63	52
30.36	33
32.27	33

Atomic structure:
a b c (Å): 6.7796 9.8434 12.9521
angles (deg): 87.34 82.61 81.91
Fractional positions:
Sb 0.2328 0.4078 0.2949
Sb 0.2435 0.0875 0.7430
Sb 0.7565 0.9125 0.2570
Sb 0.7672 0.5922 0.7051
S 0.0828 0.3218 0.9190
S 0.1039 0.7003 0.4588
S 0.2838 0.0303 0.2144
S 0.3370 0.4346 0.7566
S 0.4340 0.8123 0.9005
S 0.4572 0.7767 0.5442
S 0.5428 0.2233 0.4558
S 0.5660 0.1877 0.0995
S 0.6630 0.5654 0.2434
S 0.7162 0.9697 0.7856
S 0.8961 0.2997 0.5412
S 0.9172 0.6782 0.0810
O 0.0079 0.3007 0.4382
O 0.0558 0.3356 0.0290
O 0.0646 0.8223 0.3950
O 0.0705 0.6212 0.1439
O 0.1032 0.5709 0.4039
O 0.1120 0.9748 0.1888
O 0.1678 0.1739 0.8915
O 0.2163 0.5589 0.7282
O 0.2508 0.1389 0.2891
O 0.2837 0.8996 0.8428
O 0.2854 0.4032 0.8806
O 0.2998 0.3121 0.7043
O 0.3093 0.8533 0.6168
O 0.3452 0.6814 0.4746
O 0.3747 0.7943 0.0090
O 0.3773 0.0929 0.1031
O 0.4159 0.1500 0.5285
O 0.4242 0.3447 0.4040
O 0.4432 0.5594 0.2519
O 0.4437 0.9165 0.2418
O 0.4809 0.3118 0.1563
O 0.5191 0.6882 0.8437
O 0.5563 0.0835 0.7582
O 0.5568 0.4406 0.7481
O 0.5758 0.6553 0.5960
O 0.5841 0.8500 0.4715
O 0.6227 0.9071 0.8969
O 0.6253 0.2057 0.9910
O 0.6548 0.3186 0.5254
O 0.6907 0.1467 0.3832
O 0.7002 0.6879 0.2957
O 0.7146 0.5968 0.1194
O 0.7163 0.1004 0.1572
O 0.7492 0.8611 0.7109
O 0.7837 0.4411 0.2718
O 0.8322 0.8261 0.1085
O 0.8880 0.0252 0.8112
O 0.8968 0.4291 0.5961
O 0.9295 0.3788 0.8561
O 0.9354 0.1777 0.6050
O 0.9442 0.6644 0.9710
O 0.9921 0.6993 0.5618